Record 1
The following is a calculated powder XRD pattern of PaSn2. It was derived from a crystal structure in Alexandria, relaxed with PBE, using Cu Kα.
Intensities are scaled so that the largest is 100.

Peak list (10 most intense, 15° ≤ 2θ ≤ 90°, by intensity)
2θ (°), d_spacing, I/Imax, (hkl)
33.2, 2.697, 100.0, 1 3 1
33.5, 2.674, 20.2, 0 6 0
40.4, 2.233, 15.8, 2 0 0
41.3, 2.184, 14.8, 0 0 2
68.9, 1.363, 12.8, 3 3 1
70.2, 1.340, 12.2, 1 3 3
59.7, 1.548, 11.3, 1 9 1
53.5, 1.714, 11.1, 2 6 0
54.2, 1.692, 10.6, 0 6 2
59.2, 1.561, 10.6, 2 0 2

Structure:
```
data_PaSn2
_chemical_formula_sum 'Pa4 Sn8'
_cell_length_a 4.4660
_cell_length_b 16.0460
_cell_length_c 4.3685
_cell_angle_alpha 90.00
_cell_angle_beta 90.00
_cell_angle_gamma 90.00
_space_group_name_H-M_alt 'C m c m'
_space_group_IT_number 63
_space_group_name_Hall '-C 2c 2'
loop_
_atom_site_label
_atom_site_type_symbol
_atom_site_fract_x
_atom_site_fract_y
_atom_site_fract_z
_atom_site_occupancy
Pa1 Pa 0.0000 0.0987 0.2500 1
Sn1 Sn 0.0000 0.2500 0.7500 1
Sn2 Sn 0.0000 0.4318 0.2500 1
```



Record 2
The following is a calculated powder XRD pattern of Pa2Sn5. It was derived from a crystal structure in Alexandria, relaxed with PBE, using Cu Kα.
Intensities are scaled so that the largest is 100.

Peak list (10 most intense, 15° ≤ 2θ ≤ 90°, by intensity)
2θ (°), d_spacing, I/Imax, (hkl)
33.9, 2.646, 100.0, 4 1 0
33.6, 2.665, 73.3, 2 1 1
38.5, 2.339, 48.7, 3 1 1
34.9, 2.571, 40.7, 3 3 0
68.9, 1.363, 32.1, 4 1 2
32.6, 2.748, 31.8, 2 0 1
18.2, 4.879, 30.8, 2 1 0
16.2, 5.455, 26.6, 2 0 0
36.6, 2.454, 25.5, 2 2 1
41.2, 2.193, 24.4, 3 2 1

Structure:
```
data_Pa2Sn5
_chemical_formula_sum 'Pa4 Sn10'
_cell_length_a 10.9096
_cell_length_b 10.9096
_cell_length_c 3.1817
_cell_angle_alpha 90.00
_cell_angle_beta 90.00
_cell_angle_gamma 90.00
_space_group_name_H-M_alt 'P 4/m b m'
_space_group_IT_number 127
_space_group_name_Hall '-P 4 2ab'
loop_
_atom_site_label
_atom_site_type_symbol
_atom_site_fract_x
_atom_site_fract_y
_atom_site_fract_z
_atom_site_occupancy
Pa1 Pa 0.1828 0.3172 0.0000 1
Sn1 Sn 0.0000 0.5000 0.5000 1
Sn2 Sn 0.0588 0.7865 0.5000 1
```



Record 3
The following is a calculated powder XRD pattern of PaSn3. It was derived from a crystal structure in Alexandria, relaxed with PBE, using Cu Kα.
Intensities are scaled so that the largest is 100.

Peak list (10 most intense, 15° ≤ 2θ ≤ 90°, by intensity)
2θ (°), d_spacing, I/Imax, (hkl)
33.4, 2.682, 100.0, 1 1 1
38.8, 2.322, 50.5, 2 0 0
66.8, 1.400, 42.7, 3 1 1
56.0, 1.642, 35.6, 2 2 0
70.2, 1.341, 12.4, 2 2 2
19.1, 4.645, 8.9, 1 0 0
27.2, 3.284, 7.8, 1 1 0
83.2, 1.161, 6.1, 4 0 0
43.6, 2.077, 4.5, 2 1 0
48.0, 1.896, 3.5, 2 1 1

Structure:
```
data_PaSn3
_chemical_formula_sum 'Pa1 Sn3'
_cell_length_a 4.6448
_cell_length_b 4.6448
_cell_length_c 4.6448
_cell_angle_alpha 90.00
_cell_angle_beta 90.00
_cell_angle_gamma 90.00
_space_group_name_H-M_alt 'P m -3 m'
_space_group_IT_number 221
_space_group_name_Hall '-P 4 2 3'
loop_
_atom_site_label
_atom_site_type_symbol
_atom_site_fract_x
_atom_site_fract_y
_atom_site_fract_z
_atom_site_occupancy
Pa1 Pa 0.0000 0.0000 0.0000 1
Sn1 Sn 0.0000 0.5000 0.5000 1
```



Record 4
The following is a calculated powder XRD pattern of SrPa2Sn9. It was derived from a crystal structure in Alexandria, relaxed with PBE, using Cu Kα.
Intensities are scaled so that the largest is 100.

Peak list (10 most intense, 15° ≤ 2θ ≤ 90°, by intensity)
2θ (°), d_spacing, I/Imax, (hkl)
32.9, 2.722, 100.0, 1 1 3
38.3, 2.349, 34.0, 2 0 0
65.9, 1.418, 28.4, 3 1 3
55.0, 1.670, 22.7, 2 0 6
37.9, 2.374, 16.3, 0 0 6
65.3, 1.429, 12.6, 1 1 9
55.3, 1.661, 12.0, 2 2 0
69.0, 1.361, 11.8, 2 2 6
82.0, 1.175, 4.1, 4 0 0
37.0, 2.429, 3.3, 1 1 4

Structure:
```
data_SrPa2Sn9
_chemical_formula_sum 'Sr1 Pa2 Sn9'
_cell_length_a 4.6983
_cell_length_b 4.6983
_cell_length_c 14.2439
_cell_angle_alpha 90.00
_cell_angle_beta 90.00
_cell_angle_gamma 90.00
_space_group_name_H-M_alt 'P 4/m m m'
_space_group_IT_number 123
_space_group_name_Hall '-P 4 2'
loop_
_atom_site_label
_atom_site_type_symbol
_atom_site_fract_x
_atom_site_fract_y
_atom_site_fract_z
_atom_site_occupancy
Sr1 Sr 0.0000 0.0000 0.0000 1
Pa1 Pa 0.0000 0.0000 0.3418 1
Sn1 Sn 0.0000 0.5000 0.1763 1
Sn2 Sn 0.0000 0.5000 0.5000 1
Sn3 Sn 0.5000 0.5000 0.0000 1
Sn4 Sn 0.5000 0.5000 0.3375 1
```



Record 5
The following is a calculated powder XRD pattern of SrPaSn2. It was derived from a crystal structure in Alexandria, relaxed with PBE, using Cu Kα.
Intensities are scaled so that the largest is 100.

Peak list (10 most intense, 15° ≤ 2θ ≤ 90°, by intensity)
2θ (°), d_spacing, I/Imax, (hkl)
35.0, 2.564, 100.0, 1 1 1
30.4, 2.944, 72.4, 2 0 0
57.0, 1.616, 50.5, 3 1 1
43.5, 2.082, 27.6, 2 2 0
15.0, 5.888, 21.9, 1 0 0
65.5, 1.424, 16.8, 2 0 2
71.7, 1.317, 13.0, 4 2 0
73.9, 1.282, 12.0, 2 2 2
74.3, 1.277, 11.8, 3 3 1
63.2, 1.472, 9.3, 4 0 0

Structure:
```
data_SrPaSn2
_chemical_formula_sum 'Sr1 Pa1 Sn2'
_cell_length_a 5.8885
_cell_length_b 5.8885
_cell_length_c 3.2552
_cell_angle_alpha 90.00
_cell_angle_beta 90.00
_cell_angle_gamma 90.00
_space_group_name_H-M_alt 'P 4/m m m'
_space_group_IT_number 123
_space_group_name_Hall '-P 4 2'
loop_
_atom_site_label
_atom_site_type_symbol
_atom_site_fract_x
_atom_site_fract_y
_atom_site_fract_z
_atom_site_occupancy
Sr1 Sr 0.0000 0.0000 0.0000 1
Pa1 Pa 0.5000 0.5000 0.0000 1
Sn1 Sn 0.0000 0.5000 0.5000 1
```



Record 6
The following is a calculated powder XRD pattern of TbPaSn. It was derived from a crystal structure in Alexandria, relaxed with PBE, using Cu Kα.
Intensities are scaled so that the largest is 100.

Peak list (10 most intense, 15° ≤ 2θ ≤ 90°, by intensity)
2θ (°), d_spacing, I/Imax, (hkl)
34.6, 2.595, 100.0, 1 0 3
32.4, 2.765, 67.4, 1 1 0
59.2, 1.562, 43.7, 2 1 3
46.4, 1.955, 25.2, 2 0 0
63.3, 1.470, 11.8, 1 1 6
77.1, 1.236, 11.7, 3 1 0
41.7, 2.165, 11.0, 1 0 4
78.4, 1.220, 9.9, 3 0 3
67.8, 1.382, 8.3, 2 2 0
72.9, 1.298, 7.9, 2 0 6

Structure:
```
data_TbPaSn
_chemical_formula_sum 'Tb2 Pa2 Sn2'
_cell_length_a 3.9099
_cell_length_b 3.9099
_cell_length_c 10.4111
_cell_angle_alpha 90.00
_cell_angle_beta 90.00
_cell_angle_gamma 90.00
_space_group_name_H-M_alt 'P 4/n m m'
_space_group_IT_number 129
loop_
_space_group_symop_operation_xyz
'x,y,z'
'-x,-y,-z'
'-y+1/2,x,z'
'y+1/2,-x,-z'
'-x+1/2,-y+1/2,z'
'x+1/2,y+1/2,-z'
'y,-x+1/2,z'
'-y,x+1/2,-z'
'x+1/2,-y,-z'
'-x+1/2,y,z'
'-y,-x,-z'
'y,x,z'
'-x,y+1/2,-z'
'x,-y+1/2,z'
'y+1/2,x+1/2,-z'
'-y+1/2,-x+1/2,z'
loop_
_atom_site_label
_atom_site_type_symbol
_atom_site_fract_x
_atom_site_fract_y
_atom_site_fract_z
_atom_site_occupancy
Tb1 Tb 0.2500 0.2500 0.0998 1
Pa1 Pa 0.2500 0.2500 0.4404 1
Sn1 Sn 0.2500 0.2500 0.7416 1
```



Record 7
The following is a calculated powder XRD pattern of Pa3Sn2Te3. It was derived from a crystal structure in Alexandria, relaxed with PBE, using Cu Kα.
Intensities are scaled so that the largest is 100.

Peak list (10 most intense, 15° ≤ 2θ ≤ 90°, by intensity)
2θ (°), d_spacing, I/Imax, (hkl)
33.0, 2.715, 100.0, 2 1 1
35.5, 2.526, 83.0, 1 1 2
33.4, 2.684, 81.8, 3 0 0
43.2, 2.093, 38.4, 3 1 1
29.7, 3.009, 29.7, 0 0 2
24.2, 3.678, 28.0, 1 1 1
54.8, 1.674, 27.5, 2 1 3
49.5, 1.840, 23.2, 2 2 2
63.0, 1.475, 21.8, 4 2 1
72.0, 1.312, 18.5, 3 0 4

Structure:
```
data_Pa3Sn2Te3
_chemical_formula_sum 'Pa6 Sn4 Te6'
_cell_length_a 9.2964
_cell_length_b 9.2964
_cell_length_c 6.0171
_cell_angle_alpha 90.00
_cell_angle_beta 90.00
_cell_angle_gamma 120.00
_space_group_name_H-M_alt 'P 63/m c m'
_space_group_IT_number 193
_space_group_name_Hall '-P 6c 2'
loop_
_atom_site_label
_atom_site_type_symbol
_atom_site_fract_x
_atom_site_fract_y
_atom_site_fract_z
_atom_site_occupancy
Pa1 Pa 0.0000 0.3862 0.2500 1
Sn1 Sn 0.3333 0.6667 0.0000 1
Te1 Te 0.0000 0.2629 0.7500 1
```



Record 8
The following is a calculated powder XRD pattern of PaSn2Te4. It was derived from a crystal structure in Alexandria, relaxed with PBE, using Cu Kα.
Intensities are scaled so that the largest is 100.

Peak list (10 most intense, 15° ≤ 2θ ≤ 90°, by intensity)
2θ (°), d_spacing, I/Imax, (hkl)
34.8, 2.581, 100.0, 2 0 2
26.1, 3.419, 94.6, 1 1 1
34.8, 2.574, 83.8, 5 1 -1
39.3, 2.292, 82.1, 3 1 -3
26.0, 3.430, 50.1, 4 0 -2
39.5, 2.281, 42.3, 0 2 0
53.6, 1.710, 35.4, 2 2 2
22.6, 3.935, 29.9, 2 0 1
69.0, 1.362, 26.5, 11 1 -3
30.5, 2.927, 20.3, 3 1 -2

Structure:
```
data_PaSn2Te4
_chemical_formula_sum 'Pa2 Sn4 Te8'
_cell_length_a 15.7144
_cell_length_b 4.5625
_cell_length_c 7.9531
_cell_angle_alpha 90.00
_cell_angle_beta 120.24
_cell_angle_gamma 90.00
_space_group_name_H-M_alt 'C 1 2/m 1'
_space_group_IT_number 12
_space_group_name_Hall '-C 2y'
loop_
_atom_site_label
_atom_site_type_symbol
_atom_site_fract_x
_atom_site_fract_y
_atom_site_fract_z
_atom_site_occupancy
Pa1 Pa 0.0000 0.0000 0.0000 1
Sn1 Sn 0.2395 0.5000 0.7136 1
Te1 Te 0.1137 0.5000 0.9409 1
Te2 Te 0.1146 0.0000 0.4528 1
```



Record 9
The following is a calculated powder XRD pattern of Pa3SnTe8. It was derived from a crystal structure in Alexandria, relaxed with PBE, using Cu Kα.
Intensities are scaled so that the largest is 100.

Peak list (10 most intense, 15° ≤ 2θ ≤ 90°, by intensity)
2θ (°), d_spacing, I/Imax, (hkl)
29.9, 2.987, 100.0, 2 0 3
26.4, 3.375, 91.7, 2 0 2
40.9, 2.208, 74.3, 2 2 0
39.3, 2.295, 49.7, 2 0 5
34.3, 2.616, 33.5, 2 0 4
67.3, 1.392, 30.5, 2 2 8
23.7, 3.761, 24.8, 1 1 2
44.7, 2.027, 22.4, 2 0 6
51.5, 1.776, 22.2, 4 0 3
67.7, 1.384, 19.5, 4 2 3

Structure:
```
data_Pa3SnTe8
_chemical_formula_sum 'Pa6 Sn2 Te16'
_cell_length_a 8.8331
_cell_length_b 8.8331
_cell_length_c 14.3432
_cell_angle_alpha 90.00
_cell_angle_beta 90.00
_cell_angle_gamma 120.00
_space_group_name_H-M_alt 'P 63 m c'
_space_group_IT_number 186
_space_group_name_Hall 'P 6c -2c'
loop_
_atom_site_label
_atom_site_type_symbol
_atom_site_fract_x
_atom_site_fract_y
_atom_site_fract_z
_atom_site_occupancy
Pa1 Pa 0.1661 0.3323 0.0000 1
Sn1 Sn 0.3333 0.6667 0.2386 1
Te1 Te 0.0000 0.0000 0.1215 1
Te2 Te 0.0065 0.5033 0.1199 1
Te3 Te 0.1607 0.3214 0.3871 1
Te4 Te 0.3333 0.6667 0.8802 1
```



Record 10
The following is a calculated powder XRD pattern of PaTiSn2. It was derived from a crystal structure in Alexandria, relaxed with PBE, using Cu Kα.
Intensities are scaled so that the largest is 100.

Peak list (10 most intense, 15° ≤ 2θ ≤ 90°, by intensity)
2θ (°), d_spacing, I/Imax, (hkl)
36.3, 2.476, 100.0, 1 0 2
34.2, 2.621, 63.1, 1 1 0
62.6, 1.484, 41.8, 2 1 2
27.5, 3.238, 41.7, 1 0 1
49.2, 1.853, 23.0, 2 0 0
66.6, 1.405, 13.8, 1 1 4
54.2, 1.693, 13.5, 1 1 3
57.3, 1.608, 11.9, 2 1 1
82.3, 1.172, 10.8, 3 1 0
83.5, 1.158, 9.7, 3 0 2

Structure:
```
data_PaTiSn2
_chemical_formula_sum 'Pa1 Ti1 Sn2'
_cell_length_a 3.7062
_cell_length_b 3.7062
_cell_length_c 6.6557
_cell_angle_alpha 90.00
_cell_angle_beta 90.00
_cell_angle_gamma 90.00
_space_group_name_H-M_alt 'P 4/m m m'
_space_group_IT_number 123
_space_group_name_Hall '-P 4 2'
loop_
_atom_site_label
_atom_site_type_symbol
_atom_site_fract_x
_atom_site_fract_y
_atom_site_fract_z
_atom_site_occupancy
Pa1 Pa 0.0000 0.0000 0.0000 1
Ti1 Ti 0.0000 0.0000 0.5000 1
Sn1 Sn 0.5000 0.5000 0.2819 1
```



Record 11
The following is a calculated powder XRD pattern of Pa6TiSn10. It was derived from a crystal structure in Alexandria, relaxed with PBE, using Cu Kα.
Intensities are scaled so that the largest is 100.

Peak list (10 most intense, 15° ≤ 2θ ≤ 90°, by intensity)
2θ (°), d_spacing, I/Imax, (hkl)
33.4, 2.682, 100.0, 3 -1 1
35.5, 2.529, 77.6, 1 1 2
34.0, 2.636, 62.9, 3 0 0
43.9, 2.063, 32.0, 3 1 1
24.4, 3.650, 30.0, 1 1 1
29.4, 3.037, 25.2, 0 0 2
54.8, 1.676, 23.8, 3 -1 3
66.7, 1.403, 20.1, 5 0 2
50.0, 1.825, 16.4, 4 -2 2
64.2, 1.451, 14.8, 6 -2 1

Structure:
```
data_Pa6TiSn10
_chemical_formula_sum 'Pa6 Ti1 Sn10'
_cell_length_a 9.1330
_cell_length_b 9.1330
_cell_length_c 6.0740
_cell_angle_alpha 90.00
_cell_angle_beta 90.00
_cell_angle_gamma 120.00
_space_group_name_H-M_alt 'P -3 1 m'
_space_group_IT_number 162
_space_group_name_Hall '-P 3 2'
loop_
_atom_site_label
_atom_site_type_symbol
_atom_site_fract_x
_atom_site_fract_y
_atom_site_fract_z
_atom_site_occupancy
Pa1 Pa 0.0000 0.3894 0.2538 1
Ti1 Ti 0.0000 0.0000 0.5000 1
Sn1 Sn 0.0000 0.2504 0.7695 1
Sn2 Sn 0.3333 0.6667 0.0000 1
Sn3 Sn 0.3333 0.6667 0.5000 1
```



Record 12
The following is a calculated powder XRD pattern of TmPaTiSn. It was derived from a crystal structure in Alexandria, relaxed with PBE, using Cu Kα.
Intensities are scaled so that the largest is 100.

Peak list (10 most intense, 15° ≤ 2θ ≤ 90°, by intensity)
2θ (°), d_spacing, I/Imax, (hkl)
35.6, 2.523, 100.0, 2 2 0
63.9, 1.457, 37.1, 4 2 2
21.6, 4.120, 18.3, 1 1 1
51.2, 1.784, 17.9, 4 0 0
86.2, 1.128, 16.9, 6 2 0
75.3, 1.262, 11.6, 4 4 0
42.0, 2.152, 10.3, 3 1 1
25.0, 3.568, 6.5, 2 0 0
56.2, 1.637, 4.5, 3 3 1
68.3, 1.373, 3.4, 5 1 1

Structure:
```
data_TmPaTiSn
_chemical_formula_sum 'Tm4 Pa4 Ti4 Sn4'
_cell_length_a 7.1366
_cell_length_b 7.1366
_cell_length_c 7.1366
_cell_angle_alpha 90.00
_cell_angle_beta 90.00
_cell_angle_gamma 90.00
_space_group_name_H-M_alt 'F -4 3 m'
_space_group_IT_number 216
_space_group_name_Hall 'F -4 2 3'
loop_
_atom_site_label
_atom_site_type_symbol
_atom_site_fract_x
_atom_site_fract_y
_atom_site_fract_z
_atom_site_occupancy
Tm1 Tm 0.0000 0.0000 0.0000 1
Pa1 Pa 0.2500 0.2500 0.2500 1
Ti1 Ti 0.0000 0.0000 0.5000 1
Sn1 Sn 0.2500 0.2500 0.7500 1
```